# 1
Starting from a structure optimized by DFT (GGA-PBE), the X-ray diffraction stick pattern of Th3Co2Ni3 was calculated for copper Kα.

Structure:
Lattice parameters (Å, degrees): 3.863 15.410 5.471 90.00 110.58 90.00
Element x y z (fractional)
Th  0.092  0.250  0.187
Th  0.368  0.089  0.737
Th  0.368  0.411  0.737
Th  0.632  0.589  0.263
Th  0.632  0.911  0.263
Th  0.908  0.750  0.813
Co  0.325  0.621  0.648
Co  0.325  0.879  0.648
Co  0.675  0.121  0.352
Co  0.675  0.379  0.352
Ni  0.081  0.055  0.163
Ni  0.081  0.445  0.163
Ni  0.183  0.750  0.365
Ni  0.817  0.250  0.635
Ni  0.919  0.555  0.837
Ni  0.919  0.945  0.837

Most intense lines, 10° ≤ 2θ ≤ 80°, sorted by position:
d = 3.627 Å, I = 89; d = 3.273 Å, I = 52; d = 2.636 Å, I = 100; d = 2.568 Å, I = 66; d = 2.560 Å, I = 78; d = 2.524 Å, I = 85; d = 2.131 Å, I = 49; d = 1.969 Å, I = 55; d = 1.932 Å, I = 43; d = 1.813 Å, I = 40

# 2
Starting from a structure optimized by DFT (GGA-PBE), the X-ray diffraction stick pattern of Th2UCo12Ni3 was calculated for copper Kα.

Structure:
Lattice parameters (Å, degrees): 6.329 6.329 6.329 82.68 82.68 82.68
Element x y z (fractional)
Th  0.217  0.217  0.217
Th  0.783  0.783  0.783
U  0.500  0.500  0.500
Co  0.081  0.081  0.645
Co  0.081  0.645  0.081
Co  0.231  0.704  0.704
Co  0.296  0.296  0.769
Co  0.296  0.769  0.296
Co  0.355  0.919  0.919
Co  0.645  0.081  0.081
Co  0.704  0.231  0.704
Co  0.704  0.704  0.231
Co  0.769  0.296  0.296
Co  0.919  0.355  0.919
Co  0.919  0.919  0.355
Ni  0.000  0.500  0.500
Ni  0.500  0.000  0.500
Ni  0.500  0.500  0.000

Most intense lines, 10° ≤ 2θ ≤ 80°, sorted by position:
d = 4.181 Å, I = 37; d = 2.925 Å, I = 58; d = 2.826 Å, I = 23; d = 2.342 Å, I = 26; d = 2.090 Å, I = 100; d = 2.079 Å, I = 28; d = 2.043 Å, I = 21; d = 2.033 Å, I = 42; d = 1.579 Å, I = 18; d = 1.207 Å, I = 24

# 3
Starting from a structure optimized by DFT (GGA-PBE), the X-ray diffraction stick pattern of Th2ZnCo3Ni12 was calculated for copper Kα.

Structure:
Lattice parameters (Å, degrees): 6.266 6.266 6.266 83.02 83.02 83.02
Element x y z (fractional)
Th  0.231  0.231  0.231
Th  0.769  0.769  0.769
Zn  0.500  0.500  0.500
Co  0.000  0.500  0.500
Co  0.500  0.000  0.500
Co  0.500  0.500  0.000
Ni  0.080  0.080  0.648
Ni  0.080  0.648  0.080
Ni  0.225  0.700  0.700
Ni  0.300  0.300  0.775
Ni  0.300  0.775  0.300
Ni  0.352  0.920  0.920
Ni  0.648  0.080  0.080
Ni  0.700  0.225  0.700
Ni  0.700  0.700  0.225
Ni  0.775  0.300  0.300
Ni  0.920  0.352  0.920
Ni  0.920  0.920  0.352

Most intense lines, 10° ≤ 2θ ≤ 80°, sorted by position:
d = 4.630 Å, I = 28; d = 4.153 Å, I = 15; d = 3.092 Å, I = 26; d = 2.788 Å, I = 23; d = 2.480 Å, I = 45; d = 2.315 Å, I = 21; d = 2.077 Å, I = 100; d = 2.022 Å, I = 22; d = 2.008 Å, I = 56; d = 1.443 Å, I = 15

# 4
Starting from a structure optimized by DFT (GGA-PBE), the X-ray diffraction stick pattern of TiCo23Ni6 was calculated for copper Kα.

Structure:
Lattice parameters (Å, degrees): 7.862 7.862 7.862 60.00 60.00 60.00
Element x y z (fractional)
Ti  0.000  0.000  0.000
Co  0.000  0.000  0.500
Co  0.000  0.500  0.000
Co  0.000  0.500  0.500
Co  0.115  0.628  0.628
Co  0.140  0.140  0.140
Co  0.140  0.140  0.581
Co  0.140  0.581  0.140
Co  0.372  0.372  0.372
Co  0.372  0.372  0.885
Co  0.372  0.885  0.372
Co  0.419  0.860  0.860
Co  0.500  0.000  0.000
Co  0.500  0.000  0.500
Co  0.500  0.500  0.000
Co  0.500  0.500  0.500
Co  0.581  0.140  0.140
Co  0.628  0.115  0.628
Co  0.628  0.628  0.115
Co  0.628  0.628  0.628
Co  0.860  0.419  0.860
Co  0.860  0.860  0.419
Co  0.860  0.860  0.860
Co  0.885  0.372  0.372
Ni  0.242  0.242  0.758
Ni  0.242  0.758  0.242
Ni  0.242  0.758  0.758
Ni  0.758  0.242  0.242
Ni  0.758  0.242  0.758
Ni  0.758  0.758  0.242

Most intense lines, 10° ≤ 2θ ≤ 80°, sorted by position:
d = 3.931 Å, I = 3; d = 2.486 Å, I = 6; d = 2.269 Å, I = 3; d = 2.140 Å, I = 2; d = 1.965 Å, I = 100; d = 1.853 Å, I = 3; d = 1.758 Å, I = 2; d = 1.447 Å, I = 1; d = 1.390 Å, I = 13; d = 1.348 Å, I = 3

Which formula does entry 4 have? TiCo23Ni6